1.
For Tl8Pb, the PBE geometry in Alexandria gives the theoretical powder diffraction line list in this record (Cu Ka).
Kinematic intensities with the Lorentz-polarization factor, no thermal factor.

```
data_Tl8Pb
_chemical_formula_sum 'Tl16 Pb2'
_cell_length_a 10.288
_cell_length_b 10.288
_cell_length_c 5.240
_cell_angle_alpha 90.00
_cell_angle_beta 90.00
_cell_angle_gamma 90.00
_symmetry_space_group_name_H-M 'I 4/m m m'
_symmetry_Int_Tables_number 139
_symmetry_space_group_name_Hall '-I 4 2'
loop_
_atom_site_label
_atom_site_fract_x
_atom_site_fract_y
_atom_site_fract_z
Tl1 0.000 0.332 0.000
Tl2 0.165 0.165 0.500
Pb1 0.000 0.000 0.000
```

Largest 8 diffraction maxima, low angle first, 2θ from 5° to 70°:
(3 0 1), 2θ = 31.17°, d 2.870, I 100.0
(0 0 2), 2θ = 34.23°, d 2.620, I 19.6
(3 3 0), 2θ = 37.07°, d 2.425, I 31.7
(3 3 2), 2θ = 51.34°, d 1.780, I 25.4
(6 0 0), 2θ = 53.43°, d 1.715, I 11.3
(3 0 3), 2θ = 59.38°, d 1.556, I 16.5
(6 3 1), 2θ = 63.17°, d 1.472, I 27.4
(6 0 2), 2θ = 65.00°, d 1.435, I 12.6

2.
For Tl7Pb2, the PBE geometry in Alexandria gives the theoretical powder diffraction line list in this record (Cu Ka).
Kinematic intensities with the Lorentz-polarization factor, no thermal factor.

```
data_Tl7Pb2
_chemical_formula_sum 'Tl7 Pb2'
_cell_length_a 9.7370
_cell_length_b 9.7370
_cell_length_c 3.4012
_cell_angle_alpha 90.00
_cell_angle_beta 90.00
_cell_angle_gamma 120.00
_symmetry_space_group_name_H-M 'P -6 2 m'
_symmetry_Int_Tables_number 189
_symmetry_space_group_name_Hall 'P -6 -2'
loop_
_atom_site_label
_atom_site_fract_x
_atom_site_fract_y
_atom_site_fract_z
Tl1 0.0000 0.0000 0.0000
Tl2 0.0000 0.3133 0.5000
Tl3 0.0000 0.6488 0.0000
Pb1 0.3333 0.6667 0.5000
```

Largest 12 diffraction maxima, low angle first, 2θ from 5° to 70°:
(1 0 1), 2θ = 28.29°, d 3.154, I 9.1
(3 0 0), 2θ = 31.84°, d 2.811, I 100.0
(1 1 1), 2θ = 32.10°, d 2.788, I 69.2
(2 0 1), 2θ = 33.86°, d 2.647, I 17.7
(2 1 1), 2θ = 38.72°, d 2.326, I 15.5
(2 2 1), 2θ = 45.84°, d 1.980, I 24.1
(0 0 2), 2θ = 53.91°, d 1.701, I 8.2
(3 2 1), 2θ = 54.57°, d 1.682, I 13.5
(3 3 0), 2θ = 56.72°, d 1.623, I 17.8
(4 1 1), 2θ = 56.89°, d 1.618, I 23.8
(3 0 2), 2θ = 63.99°, d 1.455, I 28.0
(6 0 0), 2θ = 66.53°, d 1.405, I 10.5

3.
For TlPb5, the PBE geometry in Alexandria gives the theoretical powder diffraction line list in this record (Cu Ka).
Kinematic intensities with the Lorentz-polarization factor, no thermal factor.

```
data_TlPb5
_chemical_formula_sum 'Tl1 Pb5'
_cell_length_a 3.5037
_cell_length_b 3.5037
_cell_length_c 17.6774
_cell_angle_alpha 90.00
_cell_angle_beta 90.00
_cell_angle_gamma 120.00
_symmetry_space_group_name_H-M 'P -6 m 2'
_symmetry_Int_Tables_number 187
_symmetry_space_group_name_Hall 'P -6 2'
loop_
_atom_site_label
_atom_site_fract_x
_atom_site_fract_y
_atom_site_fract_z
Tl1 0.0000 0.0000 0.0000
Pb1 0.0000 0.0000 0.3323
Pb2 0.6667 0.3333 0.1660
Pb3 0.6667 0.3333 0.5000
```

Largest 11 diffraction maxima, low angle first, 2θ from 5° to 70°:
(1 0 0), 2θ = 29.44°, d 3.034, I 22.7
(0 0 6), 2θ = 30.34°, d 2.946, I 28.0
(1 0 3), 2θ = 33.21°, d 2.698, I 100.0
(1 0 6), 2θ = 42.78°, d 2.114, I 16.9
(1 1 0), 2θ = 52.22°, d 1.752, I 19.1
(1 0 9), 2θ = 55.75°, d 1.649, I 23.6
(2 0 0), 2θ = 61.08°, d 1.517, I 3.0
(1 1 6), 2θ = 61.59°, d 1.506, I 23.4
(0 0 12), 2θ = 63.11°, d 1.473, I 3.6
(2 0 3), 2θ = 63.30°, d 1.469, I 16.2
(2 0 6), 2θ = 69.72°, d 1.349, I 4.1

4.
For Tl4Pb, the PBE geometry in Alexandria gives the theoretical powder diffraction line list in this record (Cu Ka).
Kinematic intensities with the Lorentz-polarization factor, no thermal factor.

```
data_Tl4Pb
_chemical_formula_sum 'Tl4 Pb1'
_cell_length_a 3.4970
_cell_length_b 3.4970
_cell_length_c 15.0281
_cell_angle_alpha 90.00
_cell_angle_beta 90.00
_cell_angle_gamma 120.00
_symmetry_space_group_name_H-M 'P -3 m 1'
_symmetry_Int_Tables_number 164
_symmetry_space_group_name_Hall '-P 3 2"'
loop_
_atom_site_label
_atom_site_fract_x
_atom_site_fract_y
_atom_site_fract_z
Tl1 0.3333 0.6667 0.1919
Tl2 0.3333 0.6667 0.4055
Pb1 0.0000 0.0000 0.0000
```

Largest 12 diffraction maxima, low angle first, 2θ from 5° to 70°:
(0 0 5), 2θ = 29.72°, d 3.006, I 46.8
(0 1 1), 2θ = 30.10°, d 2.969, I 100.0
(1 0 2), 2θ = 31.86°, d 2.809, I 20.9
(0 1 3), 2θ = 34.61°, d 2.592, I 29.1
(1 0 4), 2θ = 38.17°, d 2.358, I 67.3
(0 1 6), 2θ = 47.08°, d 1.930, I 21.1
(1 1 0), 2θ = 52.32°, d 1.749, I 33.8
(0 1 8), 2θ = 57.75°, d 1.596, I 10.5
(1 1 5), 2θ = 61.34°, d 1.511, I 37.4
(2 0 1), 2θ = 61.55°, d 1.507, I 13.6
(1 0 9), 2θ = 63.63°, d 1.462, I 17.6
(0 2 4), 2θ = 66.58°, d 1.404, I 13.5

5.
For TlPb2, the PBE geometry in Alexandria gives the theoretical powder diffraction line list in this record (Cu Ka).
Kinematic intensities with the Lorentz-polarization factor, no thermal factor.

```
data_TlPb2
_chemical_formula_sum 'Tl1 Pb2'
_cell_length_a 5.7092
_cell_length_b 5.7092
_cell_length_c 3.3558
_cell_angle_alpha 90.00
_cell_angle_beta 90.00
_cell_angle_gamma 120.00
_symmetry_space_group_name_H-M 'P -3 m 1'
_symmetry_Int_Tables_number 164
_symmetry_space_group_name_Hall '-P 3 2"'
loop_
_atom_site_label
_atom_site_fract_x
_atom_site_fract_y
_atom_site_fract_z
Tl1 0.0000 0.0000 0.0000
Pb1 0.3333 0.6667 0.3707
```

Largest 12 diffraction maxima, low angle first, 2θ from 5° to 70°:
(0 0 1), 2θ = 26.56°, d 3.356, I 0.9
(1 1 0), 2θ = 31.34°, d 2.855, I 100.0
(0 1 1), 2θ = 32.24°, d 2.777, I 91.3
(1 1 1), 2θ = 41.53°, d 2.174, I 1.8
(2 0 1), 2θ = 45.58°, d 1.990, I 35.8
(0 0 2), 2θ = 54.70°, d 1.678, I 0.6
(3 0 0), 2θ = 55.78°, d 1.648, I 20.3
(1 2 1), 2θ = 56.35°, d 1.633, I 38.6
(1 0 2), 2θ = 58.05°, d 1.589, I 16.5
(1 1 2), 2θ = 64.41°, d 1.447, I 2.2
(2 2 0), 2θ = 65.38°, d 1.427, I 12.7
(0 2 2), 2θ = 67.46°, d 1.388, I 10.6

6.
For Tl11Pb4, the PBE geometry in Alexandria gives the theoretical powder diffraction line list in this record (Cu Ka).
Kinematic intensities with the Lorentz-polarization factor, no thermal factor.

```
data_Tl11Pb4
_chemical_formula_sum 'Tl22 Pb8'
_cell_length_a 12.163
_cell_length_b 12.163
_cell_length_c 6.389
_cell_angle_alpha 90.00
_cell_angle_beta 90.00
_cell_angle_gamma 90.00
_symmetry_space_group_name_H-M 'P 42/m n m'
_symmetry_Int_Tables_number 136
_symmetry_space_group_name_Hall '-P 4n 2n'
loop_
_atom_site_label
_atom_site_fract_x
_atom_site_fract_y
_atom_site_fract_z
Tl1 0.000 0.000 0.000
Tl2 0.065 0.265 0.000
Tl3 0.100 0.100 0.500
Tl4 0.185 0.815 0.251
Pb1 0.036 0.371 0.500
```

Largest 12 diffraction maxima, low angle first, 2θ from 5° to 70°:
(0 0 2), 2θ = 27.93°, d 3.194, I 21.1
(4 1 0), 2θ = 30.30°, d 2.950, I 84.0
(3 3 0), 2θ = 31.20°, d 2.867, I 36.0
(2 0 2), 2θ = 31.64°, d 2.828, I 36.6
(2 1 2), 2θ = 32.51°, d 2.755, I 63.8
(4 1 1), 2θ = 33.46°, d 2.678, I 100.0
(3 3 1), 2θ = 34.28°, d 2.616, I 50.0
(5 3 2), 2θ = 52.39°, d 1.746, I 22.7
(4 1 3), 2θ = 53.04°, d 1.727, I 27.8
(3 3 3), 2θ = 53.58°, d 1.710, I 25.4
(7 2 0), 2θ = 54.96°, d 1.671, I 18.9
(4 1 4), 2θ = 66.58°, d 1.405, I 18.4

What did the third record say?
For TlPb5, the PBE geometry in Alexandria gives the theoretical powder diffraction line list in this record (Cu Ka).
Kinematic intensities with the Lorentz-polarization factor, no thermal factor.

```
data_TlPb5
_chemical_formula_sum 'Tl1 Pb5'
_cell_length_a 3.5037
_cell_length_b 3.5037
_cell_length_c 17.6774
_cell_angle_alpha 90.00
_cell_angle_beta 90.00
_cell_angle_gamma 120.00
_symmetry_space_group_name_H-M 'P -6 m 2'
_symmetry_Int_Tables_number 187
_symmetry_space_group_name_Hall 'P -6 2'
loop_
_atom_site_label
_atom_site_fract_x
_atom_site_fract_y
_atom_site_fract_z
Tl1 0.0000 0.0000 0.0000
Pb1 0.0000 0.0000 0.3323
Pb2 0.6667 0.3333 0.1660
Pb3 0.6667 0.3333 0.5000
```

Largest 11 diffraction maxima, low angle first, 2θ from 5° to 70°:
(1 0 0), 2θ = 29.44°, d 3.034, I 22.7
(0 0 6), 2θ = 30.34°, d 2.946, I 28.0
(1 0 3), 2θ = 33.21°, d 2.698, I 100.0
(1 0 6), 2θ = 42.78°, d 2.114, I 16.9
(1 1 0), 2θ = 52.22°, d 1.752, I 19.1
(1 0 9), 2θ = 55.75°, d 1.649, I 23.6
(2 0 0), 2θ = 61.08°, d 1.517, I 3.0
(1 1 6), 2θ = 61.59°, d 1.506, I 23.4
(0 0 12), 2θ = 63.11°, d 1.473, I 3.6
(2 0 3), 2θ = 63.30°, d 1.469, I 16.2
(2 0 6), 2θ = 69.72°, d 1.349, I 4.1